Diffraction record for SrYGa6. The powder XRD pattern is simulated, not measured: it uses a GGA-PBE-relaxed structure and Cu Ka.

Principal peaks in the range 10 to 80 degrees two-theta, in order of rising 2θ:
- 3.120 Å, rel. 17.4
- 2.858 Å, rel. 29.8
- 2.733 Å, rel. 16.6
- 2.487 Å, rel. 44.7
- 2.398 Å, rel. 100.0
- 2.204 Å, rel. 33.0
- 1.745 Å, rel. 13.5
- 1.307 Å, rel. 23.4

Structural model:
a b c (Å): 4.4085 6.4936 6.0251
angles (deg): 90.00 90.00 90.00
Fractional coordinates of all 8 atoms:
Sr 0.0000 0.0000 0.0000
Y 0.5000 0.5000 0.2363
Ga 0.0000 0.2614 0.4742
Ga 0.0000 0.5000 0.8796
Ga 0.0000 0.7386 0.4742
Ga 0.5000 0.0000 0.4190
Ga 0.5000 0.2819 0.7568
Ga 0.5000 0.7181 0.7568